# Mg3Cr2Si4O14
Theoretical powder diffraction line list, Cu Kα X-rays. Input: a DFT-relaxed cell (PBE+U, Alexandria).

Crystal structure
a = 16.636 Å, b = 7.657 Å, c = 9.915 Å
α = 90.00°, β = 123.02°, γ = 90.00°
Space group C2/c (No. 15)
Inequivalent atoms, fractional coordinates:
Mg1 0.000 0.104 0.250 (multiplicity 4)
Mg2 0.173 0.399 0.399 (multiplicity 8)
Cr1 0.000 0.298 0.750 (multiplicity 4)
Cr2 0.000 0.500 0.000 (multiplicity 4)
Si1 0.122 0.150 0.099 (multiplicity 8)
Si2 0.179 0.213 0.702 (multiplicity 8)
O1 0.055 0.090 0.913 (multiplicity 8)
O2 0.071 0.280 0.166 (multiplicity 8)
O3 0.081 0.463 0.919 (multiplicity 8)
O4 0.094 0.344 0.679 (multiplicity 8)
O5 0.152 0.015 0.728 (multiplicity 8)
O6 0.200 0.208 0.561 (multiplicity 8)
O7 0.224 0.221 0.130 (multiplicity 8)

Peak list (10 most intense, 10° ≤ 2θ ≤ 90°, sorted by position)
- 2θ 12.7, 6.975 Å, rel. 75.0
- 2θ 19.8, 4.491 Å, rel. 43.3
- 2θ 22.4, 3.974 Å, rel. 36.4
- 2θ 28.1, 3.180 Å, rel. 80.9
- 2θ 29.5, 3.024 Å, rel. 93.6
- 2θ 30.0, 2.974 Å, rel. 46.3
- 2θ 31.2, 2.862 Å, rel. 71.3
- 2θ 31.8, 2.816 Å, rel. 44.2
- 2θ 38.7, 2.329 Å, rel. 100.0
- 2θ 40.1, 2.249 Å, rel. 61.9